# 1
For Zr3Be2Co5, the GGA-PBE geometry in Alexandria gives the theoretical X-ray diffraction stick pattern in this record (Cu Ka).
Lines closer than 0.1° are merged.

Most intense lines, 2θ from 10° to 80°, low angle first:
2θ = 35.59°, I 78.4; 2θ = 39.75°, I 42.1; 2θ = 41.51°, I 60.6; 2θ = 42.33°, I 100.0; 2θ = 45.21°, I 34.8; 2θ = 45.97°, I 22.4; 2θ = 56.76°, I 21.1; 2θ = 69.19°, I 19.7; 2θ = 72.73°, I 24.7; 2θ = 73.65°, I 18.2

```
Zr3Be2Co5
1.0
8.9700 0.0000 0.0000
0.0000 8.9700 0.0000
0.0000 0.0000 3.2438
Zr Be Co
6 4 10
Direct
0.0000 0.0000 0.0000
0.1754 0.3246 0.0000
0.3246 0.8246 0.0000
0.5000 0.5000 0.0000
0.6754 0.1754 0.0000
0.8246 0.6754 0.0000
0.1169 0.6169 0.0000
0.3831 0.1169 0.0000
0.6169 0.8831 0.0000
0.8831 0.3831 0.0000
0.0000 0.5000 0.5000
0.0700 0.7773 0.5000
0.2227 0.0700 0.5000
0.2773 0.5700 0.5000
0.4300 0.2773 0.5000
0.5000 0.0000 0.5000
0.5700 0.7227 0.5000
0.7227 0.4300 0.5000
0.7773 0.9300 0.5000
0.9300 0.2227 0.5000
```


# 2
For Mo4Au3, the GGA-PBE geometry in Alexandria gives the theoretical X-ray diffraction stick pattern in this record (Cu Ka).
Lines closer than 0.1° are merged.

Most intense lines, 2θ from 10° to 80°, low angle first:
2θ = 16.76°, I 6.9; 2θ = 29.60°, I 15.8; 2θ = 38.12°, I 59.8; 2θ = 40.24°, I 100.0; 2θ = 55.01°, I 21.4; 2θ = 58.58°, I 4.5; 2θ = 61.33°, I 6.6; 2θ = 63.70°, I 4.0; 2θ = 70.31°, I 38.5; 2θ = 74.54°, I 15.1

```
Mo4Au3
1.0
-1.6695 1.6695 10.5816
1.6695 -1.6695 10.5816
1.6695 1.6695 -10.5816
Mo Au
4 3
Direct
0.0767 0.0767 0.0000
0.3637 0.3637 0.0000
0.6363 0.6363 0.0000
0.9233 0.9233 0.0000
0.2138 0.2138 0.0000
0.5000 0.5000 0.0000
0.7862 0.7862 0.0000
```


# 3
For Pa2TaZn6, the GGA-PBE geometry in Alexandria gives the theoretical X-ray diffraction stick pattern in this record (Cu Ka).
Lines closer than 0.1° are merged.

Most intense lines, 2θ from 10° to 80°, low angle first:
2θ = 22.66°, I 42.8; 2θ = 37.40°, I 100.0; 2θ = 39.80°, I 65.1; 2θ = 46.28°, I 7.2; 2θ = 55.75°, I 31.3; 2θ = 60.87°, I 6.3; 2θ = 62.65°, I 6.2; 2θ = 70.66°, I 30.3; 2θ = 72.24°, I 10.8; 2θ = 75.22°, I 19.7

```
Pa2TaZn6
1.0
7.8465 0.0000 0.0000
-3.9233 6.7953 0.0000
0.0000 0.0000 3.0436
Pa Ta Zn
2 1 6
Direct
0.3333 0.6667 0.0000
0.6667 0.3333 0.0000
0.0000 0.0000 0.0000
0.0000 0.3184 0.5000
0.0000 0.6816 0.5000
0.3184 0.0000 0.5000
0.3184 0.3184 0.5000
0.6816 0.0000 0.5000
0.6816 0.6816 0.5000
```